Structure and computed powder diffraction line list of La5MgIn6 (a crystal structure in Alexandria, relaxed with GGA-PBE; Cu Ka).

Structural model:
abc: 17.4190 7.8249 5.4856
angles: 90.00 108.31 90.00
Space group C2/m (No. 12)
One atom of each set of equivalent atoms:
La 0.0000 0.0000 0.0000
La 0.1643 0.0000 0.6643
La 0.1736 0.5000 0.6737
Mg 0.0000 0.5000 0.0000
In 0.0000 0.2760 0.5000
In 0.1562 0.2664 0.1563

Top 10 peaks for 10 to 90 degrees two-theta, by angle:
| two_theta | intensity | h k l |
| --- | --- | --- |
| 32.47 | 100 | 2 2 1 |
| 32.65 | 21 | 2 0 -2 |
| 46.42 | 7 | 0 4 0 |
| 46.72 | 14 | 4 0 2 |
| 57.80 | 7 | 6 4 0 |
| 57.93 | 20 | 2 4 -2 |
| 58.15 | 15 | 0 2 3 |
| 67.99 | 10 | 4 4 2 |
| 77.14 | 5 | 2 6 1 |
| 77.54 | 5 | 6 2 3 |